1.
For Rb5Si2As5, a crystal structure in Alexandria, relaxed with PBE gives the simulated PXRD pattern in this record (a wavelength of 1.5418 Å).
Neutral-atom scattering factors, no anomalous dispersion.

Top 12 peaks for 2θ = 5–70°, in order of falling intensity:
two_theta, I (rel.)
28.95, 100
34.30, 51
29.71, 46
48.61, 38
29.28, 36
33.01, 26
48.06, 18
56.45, 14
57.99, 14
57.74, 10
27.25, 10
59.99, 9

Structure:
Cell: 8.578 8.578 12.145 Å, 102.73 102.73 25.24°
Fractional coordinates of all 12 atoms:
Rb1 0.000 0.000 0.000
Rb2 0.168 0.168 0.592
Rb3 0.291 0.291 0.876
Rb4 0.709 0.709 0.124
Rb5 0.832 0.832 0.408
Si1 0.480 0.480 0.695
Si2 0.520 0.520 0.305
As1 0.108 0.108 0.291
As2 0.391 0.391 0.174
As3 0.500 0.500 0.500
As4 0.609 0.609 0.826
As5 0.892 0.892 0.709

2.
For RbSrSiAs2, a crystal structure in Alexandria, relaxed with PBE gives the simulated PXRD pattern in this record (a wavelength of 1.5418 Å).
Neutral-atom scattering factors, no anomalous dispersion.

Top 12 peaks for 2θ = 5–70°, in order of falling intensity:
two_theta, I (rel.)
25.61, 100
20.80, 31
39.52, 31
39.30, 31
34.15, 26
28.83, 26
34.87, 25
23.61, 22
42.32, 18
26.54, 17
61.50, 14
39.83, 14

Structure:
Cell: 9.075 9.075 5.434 Å, 90.00 90.00 123.84°
Fractional coordinates of all 10 atoms:
Rb1 0.250 0.750 0.761
Rb2 0.750 0.250 0.239
Sr1 0.250 0.250 0.000
Sr2 0.750 0.750 0.000
Si1 0.000 0.000 0.500
Si2 0.500 0.500 0.500
As1 0.116 0.884 0.268
As2 0.384 0.616 0.268
As3 0.616 0.384 0.732
As4 0.884 0.116 0.732

3.
For Rb3SnAs3, a crystal structure in Alexandria, relaxed with PBE gives the simulated PXRD pattern in this record (a wavelength of 1.5418 Å).
Neutral-atom scattering factors, no anomalous dispersion.

Top 12 peaks for 2θ = 5–70°, in order of falling intensity:
two_theta, I (rel.)
25.56, 100
14.40, 96
28.12, 82
31.27, 77
38.23, 64
14.21, 63
24.52, 57
22.56, 42
25.19, 40
51.72, 34
43.03, 32
34.71, 29

Structure:
Cell: 8.062 8.062 8.975 Å, 93.65 93.65 101.31°
Fractional coordinates of all 14 atoms:
Rb1 0.178 0.822 0.000
Rb2 0.270 0.730 0.500
Rb3 0.367 0.367 0.148
Rb4 0.633 0.633 0.852
Rb5 0.730 0.270 0.500
Rb6 0.822 0.178 0.000
Sn1 0.147 0.147 0.618
Sn2 0.853 0.853 0.382
As1 0.101 0.101 0.323
As2 0.211 0.428 0.791
As3 0.428 0.211 0.791
As4 0.572 0.789 0.209
As5 0.789 0.572 0.209
As6 0.899 0.899 0.677

4.
For Rb2SrZnAs2, a crystal structure in Alexandria, relaxed with PBE gives the simulated PXRD pattern in this record (a wavelength of 1.5418 Å).
Neutral-atom scattering factors, no anomalous dispersion.

Top 12 peaks for 2θ = 5–70°, in order of falling intensity:
two_theta, I (rel.)
28.82, 100
35.37, 69
33.90, 56
27.34, 54
11.31, 38
53.35, 28
46.19, 27
46.31, 15
50.78, 14
24.76, 13
62.49, 13
62.65, 11

Structure:
Cell: 9.324 9.324 9.324 Å, 134.83 65.95 134.63°
Fractional coordinates of all 12 atoms:
Rb1 0.181 0.212 0.393
Rb2 0.319 0.712 0.031
Rb3 0.681 0.288 0.969
Rb4 0.819 0.788 0.607
Sr1 0.250 0.750 0.500
Sr2 0.750 0.250 0.500
Zn1 0.250 0.250 0.000
Zn2 0.750 0.750 0.000
As1 0.087 0.791 0.878
As2 0.413 0.291 0.705
As3 0.587 0.709 0.295
As4 0.913 0.209 0.122